Entry 1:
For Lu10Al3Ir, a crystal structure in OQMD, relaxed with PBE gives the simulated powder diffraction line list in this record (a wavelength of 1.5418 Å).

Main lines, by angle (5° ≤ 2θ ≤ 70°):
d_spacing, I_rel
4.066, 22.0
3.065, 19.8
3.054, 27.9
2.905, 26.7
2.590, 40.5
2.562, 100.0
2.477, 35.5
2.333, 22.4
1.596, 23.0
1.555, 19.6
1.543, 23.3
1.529, 22.9

Cell and atoms:
```
Lu10Al3Ir
1.0
9.332 0.000 0.000
-4.666 8.081 0.000
0.000 0.000 9.408
Lu Al Ir
20 6 2
direct
0.000 0.000 0.000
0.000 0.000 0.500
0.081 0.541 0.250
0.207 0.414 0.557
0.207 0.414 0.943
0.207 0.793 0.557
0.207 0.793 0.943
0.414 0.207 0.057
0.414 0.207 0.443
0.459 0.541 0.250
0.459 0.919 0.250
0.541 0.081 0.750
0.541 0.459 0.750
0.586 0.793 0.557
0.586 0.793 0.943
0.793 0.207 0.057
0.793 0.207 0.443
0.793 0.586 0.057
0.793 0.586 0.443
0.919 0.459 0.750
0.112 0.225 0.250
0.112 0.888 0.250
0.225 0.112 0.750
0.775 0.888 0.250
0.888 0.112 0.750
0.888 0.775 0.750
0.333 0.667 0.750
0.667 0.333 0.250
```


Entry 2:
For Na2AlTe4Ir, a crystal structure in OQMD, relaxed with PBE gives the simulated powder diffraction line list in this record (a wavelength of 1.5418 Å).

Main lines, by angle (5° ≤ 2θ ≤ 70°):
d_spacing, I_rel
5.471, 76.8
3.854, 20.1
3.157, 100.0
2.744, 37.1
2.453, 13.0
2.235, 12.4
2.071, 58.8
2.065, 11.4
1.828, 18.8
1.726, 12.5
1.650, 14.1
1.522, 12.6

Cell and atoms:
```
Na2AlTe4Ir
1.0
-3.880 3.880 3.854
3.880 -3.880 3.854
3.880 3.880 -3.854
Na Al Te Ir
2 1 4 1
direct
0.000 0.000 0.000
0.750 0.250 0.500
0.500 0.500 0.000
0.151 0.571 0.052
0.429 0.481 0.580
0.519 0.099 0.948
0.901 0.849 0.420
0.250 0.750 0.500
```


Entry 3:
For NdAl2Ir2, a crystal structure in OQMD, relaxed with PBE gives the simulated powder diffraction line list in this record (a wavelength of 1.5418 Å).

Main lines, by angle (5° ≤ 2θ ≤ 70°):
d_spacing, I_rel
3.409, 25.0
3.285, 42.0
2.905, 63.3
2.668, 57.0
2.607, 100.0
2.143, 67.1
1.954, 25.7
1.846, 25.4
1.814, 17.6
1.671, 28.1
1.515, 22.5
1.399, 20.5

Cell and atoms:
```
NdAl2Ir2
1.0
4.285 0.000 0.000
0.000 4.285 0.000
0.000 0.000 10.228
Nd Al Ir
2 4 4
direct
0.250 0.250 0.239
0.750 0.750 0.761
0.250 0.250 0.878
0.250 0.750 0.500
0.750 0.250 0.500
0.750 0.750 0.122
0.250 0.250 0.633
0.250 0.750 0.000
0.750 0.250 0.000
0.750 0.750 0.367
```


Entry 4:
For NdAl2Ir2, a crystal structure in OQMD, relaxed with PBE gives the simulated powder diffraction line list in this record (a wavelength of 1.5418 Å).

Main lines, by angle (5° ≤ 2θ ≤ 70°):
d_spacing, I_rel
3.397, 24.9
3.283, 42.0
2.909, 64.3
2.664, 57.8
2.608, 100.0
2.146, 67.8
1.951, 25.8
1.841, 25.2
1.814, 17.7
1.671, 28.7
1.518, 22.8
1.397, 20.4

Cell and atoms:
```
NdAl2Ir2
1.0
4.293 0.000 0.000
0.000 4.293 0.000
0.000 0.000 10.190
Nd Al Ir
2 4 4
direct
0.250 0.250 0.240
0.750 0.750 0.760
0.250 0.250 0.879
0.250 0.750 0.500
0.750 0.250 0.500
0.750 0.750 0.121
0.250 0.250 0.632
0.250 0.750 0.000
0.750 0.250 0.000
0.750 0.750 0.368
```